# Hf3Cu3N
Computed powder diffraction line list, a wavelength of 1.5418 Å. Input: a cell relaxed with PBE.
Kinematic intensities with the Lorentz-polarization factor, no thermal factor.

Structural model:
```
Hf3Cu3N
1.0
0.000 5.897 5.897
5.897 0.000 5.897
5.897 5.897 0.000
Hf Cu N
12 12 4
direct
0.065 0.065 0.685
0.065 0.685 0.065
0.065 0.685 0.685
0.315 0.315 0.935
0.315 0.935 0.315
0.315 0.935 0.935
0.685 0.065 0.065
0.685 0.065 0.685
0.685 0.685 0.065
0.935 0.315 0.315
0.935 0.315 0.935
0.935 0.935 0.315
0.000 0.500 0.500
0.292 0.292 0.292
0.292 0.292 0.623
0.292 0.623 0.292
0.377 0.708 0.708
0.500 0.000 0.500
0.500 0.500 0.000
0.500 0.500 0.500
0.623 0.292 0.292
0.708 0.377 0.708
0.708 0.708 0.377
0.708 0.708 0.708
0.000 0.000 0.000
0.000 0.000 0.500
0.000 0.500 0.000
0.500 0.000 0.000
```

The 10 most intense peaks (10 to 90 degrees two-theta), sorted by position:
| 2theta | I (rel.) |
| --- | --- |
| 30.31 | 15 |
| 33.11 | 27 |
| 37.35 | 53 |
| 39.71 | 100 |
| 43.40 | 25 |
| 55.65 | 12 |
| 64.69 | 11 |
| 67.37 | 47 |
| 68.96 | 11 |
| 81.14 | 17 |


# NaHf2CuSe5
Computed powder diffraction line list, a wavelength of 1.5418 Å. Input: a cell relaxed with PBE.
Kinematic intensities with the Lorentz-polarization factor, no thermal factor.

Structural model:
```
NaHf2CuSe5
1.0
1.904 -7.033 0.000
1.904 7.033 0.000
0.000 0.000 16.320
Na Hf Cu Se
2 4 2 10
direct
0.025 0.975 0.750
0.975 0.025 0.250
0.214 0.786 0.099
0.214 0.786 0.401
0.786 0.214 0.599
0.786 0.214 0.901
0.314 0.686 0.750
0.686 0.314 0.250
0.158 0.842 0.558
0.158 0.842 0.942
0.298 0.702 0.250
0.416 0.584 0.630
0.416 0.584 0.870
0.584 0.416 0.130
0.584 0.416 0.370
0.702 0.298 0.750
0.842 0.158 0.058
0.842 0.158 0.442
```

The 10 most intense peaks (10 to 90 degrees two-theta), sorted by position:
| 2theta | I (rel.) |
| --- | --- |
| 12.59 | 100 |
| 13.71 | 20 |
| 30.21 | 19 |
| 30.74 | 33 |
| 32.21 | 32 |
| 32.93 | 18 |
| 34.54 | 29 |
| 35.38 | 18 |
| 37.58 | 17 |
| 45.86 | 28 |